Starting from a DFT-relaxed cell (GGA-PBE, the Materials Project), the powder diffraction line list of LiTm2Ge4 was simulated for CuKα.
No peak broadening, texture or thermal motion is included.

Largest 10 diffraction maxima, in order of falling intensity, 15 to 90 degrees two-theta:
2θ = 35.4°, d = 2.534 Å, rel. 100, (1 1 -2)
2θ = 24.7°, d = 3.602 Å, rel. 23, (0 1 1)
2θ = 31.9°, d = 2.803 Å, rel. 20, (0 0 3)
2θ = 39.3°, d = 2.293 Å, rel. 18, (0 1 3)
2θ = 44.8°, d = 2.024 Å, rel. 16, (2 0 -1)
2θ = 45.5°, d = 1.993 Å, rel. 16, (0 2 0)
2θ = 27.2°, d = 3.282 Å, rel. 15, (1 0 -2)
2θ = 34.6°, d = 2.591 Å, rel. 11, (1 0 2)
2θ = 77.5°, d = 1.232 Å, rel. 11, (1 3 -2)
2θ = 65.7°, d = 1.420 Å, rel. 10, (2 2 -1)

Crystal structure
a = 4.049 Å, b = 3.987 Å, c = 8.645 Å
α = 90.00°, β = 103.38°, γ = 90.00°
Space group Pm (No. 6)
Inequivalent atoms, fractional coordinates:
Li (0.000, 0.000, 0.000) (multiplicity 1)
Tm (0.202, 0.000, 0.430) (multiplicity 1)
Tm (0.413, 0.500, 0.853) (multiplicity 1)
Ge (0.057, 0.500, 0.162) (multiplicity 1)
Ge (0.581, 0.000, 0.169) (multiplicity 1)
Ge (0.750, 0.500, 0.532) (multiplicity 1)
Ge (0.844, 0.000, 0.720) (multiplicity 1)